No. 1
Structure and computed XRD peak list of In3Se (the PBE geometry in Alexandria; copper Kα).
Intensities are scaled so that the largest is 100.

Structure:
Cell lengths 3.8480, 10.6017, 5.4506 Å; angles 90.00, 90.00, 90.00 degrees
Space group Imm2 (No. 44)
Inequivalent atoms, fractional coordinates:
1 In 0.0000 0.0000 0.0000 (multiplicity 2)
2 In 0.0000 0.2110 0.4274 (multiplicity 4)
3 Se 0.0000 0.5000 0.1048 (multiplicity 2)

Peak list (6 most intense, 2θ from 10° to 90°, most intense first)
hkl 1 2 1, 33.13°, rel. 100
hkl 0 3 1, 30.14°, rel. 25
hkl 0 4 0, 33.82°, rel. 19
hkl 0 0 2, 32.86°, rel. 17
hkl 0 2 2, 37.09°, rel. 16
hkl 1 5 2, 60.31°, rel. 15



No. 2
Structure and computed XRD peak list of InSe3 (the PBE geometry in Alexandria; copper Kα).
Intensities are scaled so that the largest is 100.

Structure:
Cell lengths 5.9906, 6.7473, 7.6231 Å; angles 72.21, 88.89, 78.20 degrees
Space group P1 (No. 1)
Inequivalent atoms, fractional coordinates:
1 In 0.0000 0.0000 0.0000 (multiplicity 1)
2 In 0.0116 0.0173 0.4809 (multiplicity 1)
3 Se 0.1265 0.2631 0.6742 (multiplicity 1)
4 Se 0.2904 0.6613 0.1783 (multiplicity 1)
5 Se 0.3902 0.7551 0.4394 (multiplicity 1)
6 Se 0.5082 0.3082 0.6483 (multiplicity 1)
7 Se 0.7287 0.9172 0.7627 (multiplicity 1)
8 Se 0.7888 0.2378 0.1786 (multiplicity 1)

Peak list (6 most intense, 2θ from 10° to 90°, most intense first)
hkl 1 1 0, 18.43°, rel. 100
hkl 0 1 0, 14.10°, rel. 83
hkl 1 1 -1, 24.13°, rel. 48
hkl 0 1 -2, 32.11°, rel. 47
hkl 1 1 2, 27.72°, rel. 38
hkl 1 -1 0, 22.81°, rel. 31



No. 3
Structure and computed XRD peak list of In3Se2 (the PBE geometry in Alexandria; copper Kα).
Intensities are scaled so that the largest is 100.

Structure:
Cell lengths 5.1400, 5.1400, 6.4264 Å; angles 90.00, 90.00, 120.00 degrees
Space group P-3m1 (No. 164)
Inequivalent atoms, fractional coordinates:
1 In 0.0000 0.0000 0.0000 (multiplicity 1)
2 In 0.3333 0.6667 0.2991 (multiplicity 2)
3 Se 0.3333 0.6667 0.7604 (multiplicity 2)

Peak list (6 most intense, 2θ from 10° to 90°, most intense first)
hkl 1 1 0, 34.91°, rel. 100
hkl 1 0 2, 34.42°, rel. 82
hkl 0 1 1, 24.32°, rel. 48
hkl 2 1 2, 62.29°, rel. 28
hkl 0 2 2, 49.84°, rel. 28
hkl 1 1 2, 45.18°, rel. 20